For Ce4Mo6O19, a cell relaxed with GGA+U gives the calculated PXRD pattern in this record (Cu Kα X-rays).

Atomic structure:
a b c (Å): 8.0586 8.0586 8.0586
angles (deg): 109.47 109.47 109.47
Sites, in units of the cell vectors:
Ce  0.0000  0.0000  0.7030
Ce  0.0000  0.7030  0.0000
Ce  0.2970  0.2970  0.2970
Ce  0.7030  0.0000  0.0000
Mo  0.1622  0.6622  0.5000
Mo  0.3378  0.5000  0.8378
Mo  0.5000  0.1622  0.6622
Mo  0.5000  0.8378  0.3378
Mo  0.6622  0.5000  0.1622
Mo  0.8378  0.3378  0.5000
O  0.0000  0.0000  0.0000
O  0.0000  0.3369  0.3369
O  0.0000  0.6631  0.6631
O  0.0373  0.2812  0.6708
O  0.2439  0.9627  0.6335
O  0.2812  0.6708  0.0373
O  0.3292  0.6104  0.3665
O  0.3369  0.0000  0.3369
O  0.3369  0.3369  0.0000
O  0.3665  0.3292  0.6104
O  0.3896  0.7188  0.7561
O  0.6104  0.3665  0.3292
O  0.6335  0.2439  0.9627
O  0.6631  0.0000  0.6631
O  0.6631  0.6631  0.0000
O  0.6708  0.0373  0.2812
O  0.7188  0.7561  0.3896
O  0.7561  0.3896  0.7188
O  0.9627  0.6335  0.2439

Top 10 peaks for 2θ = 10–80°, in order of rising 2θ:
2θ = 23.42°, rel. 89; 2θ = 30.38°, rel. 100; 2θ = 33.36°, rel. 30; 2θ = 36.12°, rel. 51; 2θ = 41.16°, rel. 25; 2θ = 47.89°, rel. 21; 2θ = 49.98°, rel. 51; 2θ = 53.97°, rel. 33; 2θ = 59.62°, rel. 30; 2θ = 68.37°, rel. 16

For Ce6MoO12, a cell relaxed with GGA+U gives the calculated PXRD pattern in this record (Cu Kα X-rays).

Atomic structure:
a b c (Å): 6.6926 6.6926 6.6926
angles (deg): 99.33 99.33 99.33
Sites, in units of the cell vectors:
Ce  0.1000  0.7919  0.6350
Ce  0.2081  0.3650  0.9000
Ce  0.3650  0.9000  0.2081
Ce  0.6350  0.1000  0.7919
Ce  0.7919  0.6350  0.1000
Ce  0.9000  0.2081  0.3650
Mo  0.5000  0.5000  0.5000
O  0.0651  0.9135  0.3230
O  0.0865  0.6770  0.9349
O  0.1875  0.4342  0.5634
O  0.3230  0.0651  0.9135
O  0.4342  0.5634  0.1875
O  0.4366  0.8125  0.5658
O  0.5634  0.1875  0.4342
O  0.5658  0.4366  0.8125
O  0.6770  0.9349  0.0865
O  0.8125  0.5658  0.4366
O  0.9135  0.3230  0.0651
O  0.9349  0.0865  0.6770

Top 10 peaks for 2θ = 10–80°, in order of rising 2θ:
2θ = 28.09°, rel. 34; 2θ = 28.32°, rel. 100; 2θ = 32.75°, rel. 42; 2θ = 46.84°, rel. 33; 2θ = 47.13°, rel. 31; 2θ = 55.52°, rel. 15; 2θ = 55.77°, rel. 26; 2θ = 55.90°, rel. 13; 2θ = 58.57°, rel. 9; 2θ = 76.06°, rel. 9

For RbCeMoO6, a cell relaxed with GGA+U gives the calculated PXRD pattern in this record (Cu Kα X-rays).

Atomic structure:
a b c (Å): 5.8573 5.8573 6.1811
angles (deg): 91.46 91.46 124.34
Sites, in units of the cell vectors:
Rb  0.0000  0.0000  0.0000
Ce  0.6762  0.3238  0.5000
Mo  0.3590  0.6410  0.5000
O  0.0169  0.6074  0.6853
O  0.0501  0.4301  0.3047
O  0.3424  0.3746  0.6620
O  0.3926  0.9831  0.3147
O  0.5699  0.9499  0.6953
O  0.6254  0.6576  0.3380

Top 10 peaks for 2θ = 10–80°, in order of rising 2θ:
2θ = 14.35°, rel. 100; 2θ = 22.41°, rel. 67; 2θ = 22.82°, rel. 86; 2θ = 23.93°, rel. 80; 2θ = 28.93°, rel. 32; 2θ = 30.63°, rel. 68; 2θ = 33.58°, rel. 27; 2θ = 41.99°, rel. 52; 2θ = 43.28°, rel. 25; 2θ = 57.20°, rel. 28

For CeTlMo2O8, a cell relaxed with GGA+U gives the calculated PXRD pattern in this record (Cu Kα X-rays).

Atomic structure:
a b c (Å): 5.2548 19.1930 8.3511
angles (deg): 90.00 90.00 90.00
Sites, in units of the cell vectors:
Ce  0.0000  0.0069  0.2500
Ce  0.0000  0.9931  0.7500
Ce  0.5000  0.4931  0.7500
Ce  0.5000  0.5069  0.2500
Tl  0.0000  0.2295  0.7500
Tl  0.0000  0.7705  0.2500
Tl  0.5000  0.2705  0.2500
Tl  0.5000  0.7295  0.7500
Mo  0.0193  0.3990  0.0175
Mo  0.0193  0.6010  0.5175
Mo  0.4807  0.1010  0.5175
Mo  0.4807  0.8990  0.0175
Mo  0.5193  0.1010  0.9825
Mo  0.5193  0.8990  0.4825
Mo  0.9807  0.3990  0.4825
Mo  0.9807  0.6010  0.9825
O  0.1014  0.3135  0.4763
O  0.1014  0.6865  0.9763
O  0.2237  0.4026  0.8446
O  0.2237  0.5974  0.3446
O  0.2370  0.4096  0.1866
O  0.2370  0.5904  0.6866
O  0.2481  0.4623  0.5042
O  0.2481  0.5377  0.0042
O  0.2519  0.0377  0.0042
O  0.2519  0.9623  0.5042
O  0.2630  0.0904  0.6866
O  0.2630  0.9096  0.1866
O  0.2763  0.0974  0.3446
O  0.2763  0.9026  0.8446
O  0.3986  0.1865  0.9763
O  0.3986  0.8135  0.4763
O  0.6014  0.1865  0.5237
O  0.6014  0.8135  0.0237
O  0.7237  0.0974  0.1554
O  0.7237  0.9026  0.6554
O  0.7370  0.0904  0.8134
O  0.7370  0.9096  0.3134
O  0.7481  0.0377  0.4958
O  0.7481  0.9623  0.9958
O  0.7519  0.4623  0.9958
O  0.7519  0.5377  0.4958
O  0.7630  0.4096  0.3134
O  0.7630  0.5904  0.8134
O  0.7763  0.4026  0.6554
O  0.7763  0.5974  0.1554
O  0.8986  0.3135  0.0237
O  0.8986  0.6865  0.5237

Top 10 peaks for 2θ = 10–80°, in order of rising 2θ:
2θ = 20.50°, rel. 59; 2θ = 24.37°, rel. 61; 2θ = 27.68°, rel. 100; 2θ = 28.33°, rel. 79; 2θ = 28.80°, rel. 80; 2θ = 34.13°, rel. 26; 2θ = 36.84°, rel. 25; 2θ = 44.93°, rel. 64; 2θ = 51.14°, rel. 36; 2θ = 52.86°, rel. 35

For CeTm2MoO8, a cell relaxed with GGA+U gives the calculated PXRD pattern in this record (Cu Kα X-rays).

Atomic structure:
a b c (Å): 4.9706 4.9706 6.8096
angles (deg): 90.00 90.00 91.24
Sites, in units of the cell vectors:
Ce  0.0000  0.0000  0.0000
Tm  0.5000  0.5000  0.2566
Tm  0.5000  0.5000  0.7434
Mo  0.0000  0.0000  0.5000
O  0.1849  0.8151  0.2860
O  0.1849  0.8151  0.7140
O  0.2800  0.2800  0.5000
O  0.3061  0.3061  0.0000
O  0.6939  0.6939  0.0000
O  0.7200  0.7200  0.5000
O  0.8151  0.1849  0.2860
O  0.8151  0.1849  0.7140

Top 10 peaks for 2θ = 10–80°, in order of rising 2θ:
2θ = 25.07°, rel. 59; 2θ = 25.62°, rel. 53; 2θ = 31.86°, rel. 100; 2θ = 36.15°, rel. 28; 2θ = 48.63°, rel. 40; 2θ = 49.26°, rel. 37; 2θ = 59.17°, rel. 10; 2θ = 60.29°, rel. 10; 2θ = 62.34°, rel. 22; 2θ = 66.59°, rel. 11